No. 1
Sm2GaBi2: calculated powder X-ray diffraction pattern (Cu Kα (weighted mean of Kα1 and Kα2)), based on DFT lattice parameters and positions (PBE).
Kinematic intensities with the Lorentz-polarization factor, no thermal factor.

Peak list (8 most intense, 2θ from 10° to 90°, low angle first)
23.78 deg, d 3.742, I 78; 27.31 deg, d 3.265, I 68; 32.84 deg, d 2.727, I 100; 36.52 deg, d 2.460, I 87; 36.74 deg, d 2.446, I 74; 38.33 deg, d 2.348, I 65; 46.03 deg, d 1.972, I 36; 59.62 deg, d 1.551, I 38

Cell and atoms:
```
Sm2GaBi2
1.0
1.9721 -5.9149 0.0000
1.9721 5.9149 0.0000
0.0000 0.0000 13.0618
Sm Ga Bi
4 2 4
Cartesian
1.9721 3.4469 8.0177
1.9721 3.4469 11.5751
1.9721 -3.4469 1.4868
1.9721 -3.4469 5.0441
1.9721 0.7351 3.2655
1.9721 -0.7351 9.7964
1.9721 5.1184 1.4438
1.9721 5.1184 5.0871
1.9721 -5.1184 7.9748
1.9721 -5.1184 11.6180
```

---

No. 2
LaHgAu2: calculated powder X-ray diffraction pattern (Cu Kα (weighted mean of Kα1 and Kα2)), based on DFT lattice parameters and positions (PBE).
Kinematic intensities with the Lorentz-polarization factor, no thermal factor.

Peak list (8 most intense, 2θ from 10° to 90°, low angle first)
31.06 deg, d 2.879, I 11; 33.82 deg, d 2.650, I 18; 34.93 deg, d 2.569, I 31; 35.75 deg, d 2.512, I 100; 38.21 deg, d 2.355, I 22; 49.41 deg, d 1.845, I 12; 63.17 deg, d 1.472, I 19; 70.24 deg, d 1.340, I 13

Cell and atoms:
```
LaHgAu2
1.0
5.1378 0.0000 0.0000
0.0000 6.8575 0.0000
0.0000 0.0000 5.3005
La Hg Au
2 2 4
Cartesian
1.2845 1.7144 0.9603
3.8534 5.1431 4.3402
1.2845 5.1431 1.1197
3.8534 1.7144 4.1808
1.2845 3.4375 3.6209
1.2845 6.8488 3.6209
3.8534 0.0087 1.6796
3.8534 3.4200 1.6796
```

---

No. 3
NiBiTe: calculated powder X-ray diffraction pattern (Cu Kα (weighted mean of Kα1 and Kα2)), based on DFT lattice parameters and positions (PBE).
Kinematic intensities with the Lorentz-polarization factor, no thermal factor.

Peak list (8 most intense, 2θ from 10° to 90°, low angle first)
26.15 deg, d 3.408, I 28; 30.92 deg, d 2.892, I 100; 32.20 deg, d 2.780, I 69; 32.78 deg, d 2.732, I 21; 42.40 deg, d 2.132, I 47; 45.21 deg, d 2.006, I 23; 47.96 deg, d 1.897, I 28; 56.57 deg, d 1.627, I 28

Cell and atoms:
```
NiBiTe
1.0
4.0126 0.0000 0.0000
0.0000 5.4638 0.0000
0.0000 0.0000 6.4574
Ni Bi Te
2 2 2
Cartesian
0.0000 1.2417 0.0000
2.0063 4.2221 3.2287
0.0000 2.6278 4.1385
2.0063 2.8359 0.9098
0.0000 0.1547 2.3289
2.0063 5.3091 5.5576
```

---

No. 4
Y2Ho2CI2Br2Cl: calculated powder X-ray diffraction pattern (Cu Kα (weighted mean of Kα1 and Kα2)), based on DFT lattice parameters and positions (PBE).
Kinematic intensities with the Lorentz-polarization factor, no thermal factor.

Peak list (8 most intense, 2θ from 10° to 90°, low angle first)
13.39 deg, d 6.614, I 20; 23.71 deg, d 3.753, I 36; 29.36 deg, d 3.042, I 54; 30.86 deg, d 2.897, I 21; 32.32 deg, d 2.770, I 100; 33.91 deg, d 2.644, I 35; 43.82 deg, d 2.066, I 29; 44.63 deg, d 2.031, I 30

Cell and atoms:
```
Y2Ho2CI2Br2Cl
1.0
9.2979 -1.9175 0.0000
9.2979 1.9175 0.0000
-1.5269 0.0000 7.8643
Y Ho C I Br Cl
2 2 1 2 2 1
Cartesian
2.3463 0.0000 0.4734
14.7227 0.0000 7.3909
8.9555 0.0000 1.6054
8.1135 0.0000 6.2589
0.0000 0.0000 0.0000
5.2626 0.0000 5.0729
11.8064 0.0000 2.7915
5.9793 0.0000 1.4300
11.0897 0.0000 6.4344
-0.7634 0.0000 3.9322
```

---

No. 5
Zr2Ni12P7: calculated powder X-ray diffraction pattern (Cu Kα (weighted mean of Kα1 and Kα2)), based on DFT lattice parameters and positions (PBE).
Kinematic intensities with the Lorentz-polarization factor, no thermal factor.

Peak list (8 most intense, 2θ from 10° to 90°, low angle first)
39.68 deg, d 2.272, I 100; 43.08 deg, d 2.100, I 9; 46.73 deg, d 1.944, I 9; 49.33 deg, d 1.847, I 15; 51.02 deg, d 1.790, I 19; 54.04 deg, d 1.697, I 17; 77.51 deg, d 1.232, I 11; 88.40 deg, d 1.106, I 9

Cell and atoms:
```
Zr2Ni12P7
1.0
8.9790 0.0000 0.0000
-4.4895 7.7760 0.0000
0.0000 0.0000 3.5804
Zr Ni P
2 12 7
Cartesian
0.0000 0.0000 0.0000
0.0000 5.1840 1.7902
-0.7974 2.2307 1.7902
-2.2736 5.4923 0.0000
-2.1590 7.3512 1.7902
0.8698 3.0608 0.0000
2.7127 1.3664 0.0000
2.9324 3.3015 1.7902
4.6536 0.8888 1.7902
1.4038 6.9989 0.0000
2.9563 5.9701 1.7902
4.3165 4.7435 0.0000
6.4393 1.6661 0.0000
5.8824 3.5858 1.7902
-1.3210 3.5208 0.0000
1.3404 1.6599 1.7902
-0.7799 7.1597 0.0000
2.1009 4.8716 0.0000
4.4895 2.5920 0.0000
6.8713 0.3309 1.7902
5.2568 5.7853 1.7902
```

---

No. 6
BeTePdO: calculated powder X-ray diffraction pattern (Cu Kα (weighted mean of Kα1 and Kα2)), based on DFT lattice parameters and positions (PBE).
Kinematic intensities with the Lorentz-polarization factor, no thermal factor.

Peak list (8 most intense, 2θ from 10° to 90°, low angle first)
24.98 deg, d 3.565, I 29; 26.66 deg, d 3.344, I 29; 34.63 deg, d 2.590, I 47; 35.66 deg, d 2.518, I 33; 35.85 deg, d 2.505, I 75; 37.50 deg, d 2.399, I 39; 42.46 deg, d 2.129, I 100; 51.96 deg, d 1.760, I 29

Cell and atoms:
```
BeTePdO
1.0
5.1808 0.0000 0.0000
0.0000 10.6943 0.0000
0.0000 0.0000 4.7973
Be Te Pd O
4 4 4 4
Cartesian
0.6462 0.0492 0.0000
1.9442 0.0492 2.3986
3.2367 10.6451 0.0000
4.5346 10.6451 2.3986
0.0029 3.3462 4.5952
2.5875 3.3462 2.1966
2.5933 7.3481 4.5952
5.1779 7.3481 2.1966
0.0009 4.5547 2.1960
5.1799 6.1396 4.5947
2.5895 4.5547 4.5947
2.5913 6.1396 2.1960
0.6492 0.0837 1.5662
1.9412 0.0837 3.9648
3.2396 10.6106 1.5662
4.5316 10.6106 3.9648
```

---

No. 7
Nb3SeI3Br3Cl: calculated powder X-ray diffraction pattern (Cu Kα (weighted mean of Kα1 and Kα2)), based on DFT lattice parameters and positions (PBE).
Kinematic intensities with the Lorentz-polarization factor, no thermal factor.

Peak list (8 most intense, 2θ from 10° to 90°, low angle first)
12.52 deg, d 7.069, I 52; 18.70 deg, d 4.746, I 13; 30.65 deg, d 2.917, I 100; 37.92 deg, d 2.373, I 48; 47.93 deg, d 1.898, I 29; 49.30 deg, d 1.849, I 23; 56.15 deg, d 1.638, I 12; 59.18 deg, d 1.561, I 14

Cell and atoms:
```
Nb3SeI3Br3Cl
1.0
7.3940 0.0000 0.0000
-3.6970 6.4034 0.0000
0.0000 0.0000 7.0695
Nb Se I Br Cl
3 1 3 3 1
Cartesian
-1.4803 3.4143 0.0000
1.4803 3.4143 0.0000
0.0000 5.9782 0.0000
0.0000 4.2689 1.8713
1.8189 1.0501 1.6174
5.5751 1.0501 1.6174
3.6970 4.3031 1.6174
0.0000 2.1424 5.3669
-1.8416 5.3322 5.3669
1.8416 5.3322 5.3669
3.6970 2.1345 5.8941
```